# 1
Diffraction record for CsInSnSe3. The X-ray powder pattern is calculated, not measured: it uses a crystal structure in Alexandria, relaxed with PBE and Cu Kα.

Crystal structure
```
CsInSnSe3
1.0
10.185 0.000 0.000
0.000 4.362 0.000
-2.699 0.000 10.748
Cs In Sn Se
2 2 2 6
direct
0.175 0.250 0.189 Cs
0.825 0.750 0.811 Cs
0.095 0.250 0.624 In
0.905 0.750 0.376 In
0.377 0.750 0.866 Sn
0.623 0.250 0.134 Sn
0.136 0.250 0.856 Se
0.169 0.750 0.508 Se
0.424 0.750 0.117 Se
0.576 0.250 0.883 Se
0.831 0.250 0.492 Se
0.864 0.750 0.144 Se
```

Top 10 peaks for 10 to 80 degrees two-theta, sorted by position:
two_theta	d (Å)	Rel. int.
10.59	8.358	577
13.57	6.524	170
24.85	3.583	253
26.48	3.366	202
27.25	3.273	1000
34.32	2.613	150
36.38	2.470	125
39.84	2.262	316
41.40	2.181	213
50.15	1.819	158

***

# 2
Diffraction record for LaY7Er5. The X-ray powder pattern is calculated, not measured: it uses a crystal structure in Alexandria, relaxed with PBE and Cu Kα.

Crystal structure
```
LaY7Er5
1.0
-3.325 5.610 5.804
3.325 -5.610 5.804
3.325 5.610 -5.804
La Y Er
1 7 5
direct
0.000 0.000 0.000 La
0.226 0.559 0.667 Y
0.296 0.296 0.000 Y
0.381 0.056 0.325 Y
0.610 0.610 0.000 Y
0.731 0.056 0.675 Y
0.797 0.297 0.500 Y
0.892 0.559 0.333 Y
0.036 0.041 0.469 Er
0.036 0.568 0.995 Er
0.315 0.815 0.500 Er
0.572 0.041 0.005 Er
0.572 0.568 0.531 Er
```

Top 10 peaks for 10 to 80 degrees two-theta, sorted by position:
two_theta	d (Å)	Rel. int.
15.28	5.800	454
30.81	2.902	688
30.99	2.885	491
31.27	2.861	683
31.48	2.842	683
31.91	2.805	333
34.97	2.566	1000
35.55	2.525	412
44.47	2.037	361
57.51	1.603	380

***

# 3
Diffraction record for PmDy3Th2. The X-ray powder pattern is calculated, not measured: it uses a crystal structure in Alexandria, relaxed with PBE and Cu Kα.

Crystal structure
```
PmDy3Th2
1.0
10.089 0.000 0.000
0.000 3.578 0.000
-0.060 0.000 10.707
Pm Dy Th
2 6 4
direct
0.123 0.250 0.250 Pm
0.877 0.750 0.750 Pm
0.134 0.250 0.918 Dy
0.371 0.750 0.417 Dy
0.375 0.750 0.750 Dy
0.625 0.250 0.250 Dy
0.629 0.250 0.583 Dy
0.866 0.750 0.082 Dy
0.124 0.250 0.581 Th
0.380 0.750 0.081 Th
0.620 0.250 0.919 Th
0.876 0.750 0.419 Th
```

Top 10 peaks for 10 to 80 degrees two-theta, sorted by position:
two_theta	d (Å)	Rel. int.
30.62	2.920	1000
30.77	2.906	329
35.55	2.525	675
51.06	1.789	243
51.25	1.783	240
60.75	1.525	338
60.91	1.521	190
61.05	1.518	47
63.78	1.459	83
75.20	1.263	52

***

# 4
Diffraction record for BaMgAl3P2H2O14. The X-ray powder pattern is calculated, not measured: it uses a crystal structure in Alexandria, relaxed with PBE and Cu Kα.

Crystal structure
```
BaMgAl3P2H2O14
1.0
6.340 -3.423 0.000
6.340 3.423 0.000
-3.777 0.000 6.140
Ba Mg Al P H O
1 1 3 2 2 14
direct
0.000 0.000 0.000 Ba
0.487 0.487 0.647 Mg
0.023 0.526 0.516 Al
0.526 0.023 0.516 Al
0.998 0.998 0.542 Al
0.289 0.289 0.906 P
0.728 0.728 0.136 P
0.308 0.308 0.303 H
0.720 0.720 0.704 H
0.001 0.210 0.440 O
0.137 0.498 0.804 O
0.147 0.732 0.613 O
0.149 0.149 0.827 O
0.210 0.001 0.440 O
0.298 0.298 0.435 O
0.370 0.370 0.153 O
0.498 0.137 0.804 O
0.509 0.876 0.219 O
0.659 0.659 0.887 O
0.731 0.731 0.578 O
0.732 0.147 0.613 O
0.871 0.871 0.234 O
0.876 0.509 0.219 O
```

Top 10 peaks for 10 to 80 degrees two-theta, sorted by position:
two_theta	d (Å)	Rel. int.
15.14	5.851	402
15.32	5.783	1000
24.80	3.591	750
26.03	3.423	444
28.00	3.187	606
29.60	3.018	622
29.88	2.990	420
36.80	2.443	444
37.97	2.370	357
48.19	1.888	326

***

# 5
Diffraction record for Ce5Zr2Sc4. The X-ray powder pattern is calculated, not measured: it uses a crystal structure in Alexandria, relaxed with PBE and Cu Kα.

Crystal structure
```
Ce5Zr2Sc4
1.0
8.121 0.000 0.000
0.000 3.175 0.000
-0.898 0.000 10.855
Ce Zr Sc
5 2 4
direct
0.000 0.000 0.000 Ce
0.058 0.000 0.271 Ce
0.281 0.000 0.817 Ce
0.719 0.000 0.183 Ce
0.942 0.000 0.729 Ce
0.456 0.000 0.365 Zr
0.544 0.000 0.635 Zr
0.211 0.500 0.536 Sc
0.353 0.500 0.106 Sc
0.647 0.500 0.894 Sc
0.789 0.500 0.464 Sc
```

Top 10 peaks for 10 to 80 degrees two-theta, sorted by position:
two_theta	d (Å)	Rel. int.
14.18	6.247	382
28.10	3.175	746
31.61	2.830	368
32.68	2.741	398
33.56	2.670	929
33.96	2.639	1000
34.59	2.593	929
44.33	2.044	395
44.65	2.030	444
45.14	2.008	384

***

# 6
Diffraction record for Ce2MgPd6. The X-ray powder pattern is calculated, not measured: it uses a crystal structure in Alexandria, relaxed with PBE and Cu Kα.

Crystal structure
```
Ce2MgPd6
1.0
5.756 0.000 0.000
-2.878 4.985 0.000
0.000 0.000 5.992
Ce Mg Pd
2 1 6
direct
0.333 0.667 0.289 Ce
0.667 0.333 0.711 Ce
0.000 0.000 0.500 Mg
0.173 0.346 0.815 Pd
0.173 0.827 0.815 Pd
0.346 0.173 0.185 Pd
0.654 0.827 0.815 Pd
0.827 0.173 0.185 Pd
0.827 0.654 0.185 Pd
```

Top 10 peaks for 10 to 80 degrees two-theta, sorted by position:
two_theta	d (Å)	Rel. int.
14.79	5.992	89
29.82	2.996	271
34.94	2.568	187
36.03	2.493	209
39.14	2.301	1000
47.45	1.916	222
59.29	1.559	87
64.78	1.439	171
72.93	1.297	118
78.37	1.220	124

***

# 7
Diffraction record for TbYP2. The X-ray powder pattern is calculated, not measured: it uses a crystal structure in Alexandria, relaxed with PBE and Cu Kα.

Crystal structure
```
TbYP2
1.0
4.021 -8.041 0.000
4.021 8.041 0.000
-4.021 0.000 5.687
Tb Y P
4 4 8
direct
0.062 0.938 0.750 Tb
0.187 0.813 0.250 Tb
0.813 0.187 0.750 Tb
0.938 0.062 0.250 Tb
0.312 0.688 0.750 Y
0.437 0.563 0.250 Y
0.563 0.437 0.750 Y
0.688 0.312 0.250 Y
0.063 0.438 0.250 P
0.188 0.313 0.750 P
0.313 0.188 0.250 P
0.438 0.063 0.750 P
0.562 0.937 0.250 P
0.687 0.812 0.750 P
0.812 0.687 0.250 P
0.937 0.562 0.750 P
```

Top 10 peaks for 10 to 80 degrees two-theta, sorted by position:
two_theta	d (Å)	Rel. int.
14.57	6.079	88
21.40	4.153	38
27.16	3.283	690
31.46	2.843	1000
45.10	2.010	720
53.44	1.715	332
56.02	1.642	250
65.68	1.422	115
72.45	1.305	131
74.64	1.272	318

***

# 8
Diffraction record for NpCl4F. The X-ray powder pattern is calculated, not measured: it uses a crystal structure in Alexandria, relaxed with PBE and Cu Kα.

Crystal structure
```
NpCl4F
1.0
-4.756 4.756 2.240
4.756 -4.756 2.240
4.756 4.756 -2.240
Np Cl F
1 4 1
direct
0.000 0.000 0.000 Np
0.053 0.746 0.799 Cl
0.254 0.053 0.308 Cl
0.746 0.947 0.692 Cl
0.947 0.254 0.201 Cl
0.500 0.500 0.000 F
```

Top 10 peaks for 10 to 80 degrees two-theta, sorted by position:
two_theta	d (Å)	Rel. int.
13.16	6.725	1000
18.66	4.756	414
21.93	4.053	812
28.95	3.085	225
29.70	3.008	359
34.66	2.588	214
42.52	2.126	272
44.16	2.051	272
50.83	1.796	159
52.25	1.751	183

***

# 9
Diffraction record for Ac6DyPb10. The X-ray powder pattern is calculated, not measured: it uses a crystal structure in Alexandria, relaxed with PBE and Cu Kα.

Crystal structure
```
Ac6DyPb10
1.0
10.008 0.000 0.000
-5.004 8.667 0.000
0.000 0.000 6.856
Ac Dy Pb
6 1 10
direct
0.000 0.391 0.238 Ac
0.000 0.609 0.762 Ac
0.391 0.000 0.238 Ac
0.391 0.391 0.762 Ac
0.609 0.000 0.762 Ac
0.609 0.609 0.238 Ac
0.000 0.000 0.000 Dy
0.000 0.240 0.692 Pb
0.000 0.760 0.308 Pb
0.240 0.000 0.692 Pb
0.240 0.240 0.308 Pb
0.333 0.667 0.000 Pb
0.333 0.667 0.500 Pb
0.667 0.333 0.000 Pb
0.667 0.333 0.500 Pb
0.760 0.000 0.308 Pb
0.760 0.760 0.692 Pb
```

Top 10 peaks for 10 to 80 degrees two-theta, sorted by position:
two_theta	d (Å)	Rel. int.
27.22	3.276	192
30.24	2.956	1000
30.95	2.889	540
31.64	2.828	885
39.74	2.268	139
44.85	2.021	221
48.57	1.874	133
55.48	1.656	171
56.79	1.621	142
59.78	1.547	160

***

# 10
Diffraction record for Mn3NiPd4. The X-ray powder pattern is calculated, not measured: it uses a crystal structure in Alexandria, relaxed with PBE and Cu Kα.

Crystal structure
```
Mn3NiPd4
1.0
0.000 3.543 5.748
2.881 0.000 5.748
2.881 3.543 0.000
Mn Ni Pd
3 1 4
direct
0.000 0.000 0.000 Mn
0.258 0.258 0.742 Mn
0.742 0.742 0.258 Mn
0.500 0.500 0.500 Ni
0.124 0.124 0.376 Pd
0.376 0.376 0.124 Pd
0.624 0.624 0.876 Pd
0.876 0.876 0.624 Pd
```

Top 10 peaks for 10 to 80 degrees two-theta, sorted by position:
two_theta	d (Å)	Rel. int.
25.14	3.543	79
31.08	2.878	93
40.38	2.234	1000
44.52	2.035	373
51.60	1.771	120
64.70	1.441	59
64.88	1.437	56
70.49	1.336	188
79.12	1.210	128
79.25	1.209	124

***

# 11
Diffraction record for MnPCS. The X-ray powder pattern is calculated, not measured: it uses a crystal structure in Alexandria, relaxed with PBE and Cu Kα.

Crystal structure
```
MnPCS
1.0
2.936 0.000 0.000
-1.468 2.543 0.000
0.000 0.000 7.024
Mn P C S
1 1 1 1
direct
0.000 0.000 0.000 Mn
0.000 0.000 0.325 P
0.333 0.667 0.412 C
0.667 0.333 0.810 S
```

Top 10 peaks for 10 to 80 degrees two-theta, sorted by position:
two_theta	d (Å)	Rel. int.
12.60	7.024	1000
25.36	3.512	393
35.30	2.543	566
37.62	2.391	922
38.45	2.341	118
43.97	2.059	397
53.18	1.722	763
63.36	1.468	318
64.49	1.445	137
69.39	1.354	98

***

# 12
Diffraction record for BC2. The X-ray powder pattern is calculated, not measured: it uses a crystal structure in Alexandria, relaxed with PBE and Cu Kα.

Crystal structure
```
BC2
1.0
3.956 -1.969 0.000
3.956 1.969 0.000
-1.700 0.000 4.899
B C
4 8
direct
0.000 0.000 0.000 B
0.504 0.177 0.918 B
0.823 0.496 0.082 B
0.925 0.075 0.500 B
0.223 0.761 0.257 C
0.239 0.777 0.743 C
0.269 0.401 0.656 C
0.285 0.369 0.178 C
0.516 0.135 0.418 C
0.599 0.731 0.344 C
0.631 0.715 0.822 C
0.865 0.484 0.582 C
```

Top 10 peaks for 10 to 80 degrees two-theta, sorted by position:
two_theta	d (Å)	Rel. int.
18.11	4.899	62
25.57	3.484	128
29.09	3.070	30
41.71	2.166	1000
42.96	2.105	917
49.92	1.827	18
60.31	1.535	21
71.03	1.327	493
72.97	1.297	123
76.47	1.246	112